Record 1
TlCu2HSe2O10: simulated powder X-ray diffraction pattern (Cu Kα (λ = 1.5418 Å)), based on a GGA-PBE-relaxed structure.
Kinematic intensities with the Lorentz-polarization factor, no thermal factor.

Most intense lines, 2θ = 5–70°, low angle first:
4.815 Å, rel. 74; 3.619 Å, rel. 100; 3.094 Å, rel. 44; 2.905 Å, rel. 49; 2.765 Å, rel. 44; 2.681 Å, rel. 42

Structural model:
Cell: 5.461 5.461 8.906 Å, 111.12 111.12 69.61°
Positions (direct):
1 Tl 0.000 0.000 0.000
2 Cu 0.000 0.500 0.500
3 Cu 0.500 0.000 0.500
4 H 0.000 0.000 0.500
5 Se 0.444 0.444 0.234
6 Se 0.556 0.556 0.766
7 O 0.151 0.151 0.540
8 O 0.207 0.658 0.715
9 O 0.331 0.331 0.339
10 O 0.335 0.335 0.030
11 O 0.342 0.793 0.285
12 O 0.658 0.207 0.715
13 O 0.665 0.665 0.970
14 O 0.669 0.669 0.661
15 O 0.793 0.342 0.285
16 O 0.849 0.849 0.460

Record 2
Hf3Cu8: simulated powder X-ray diffraction pattern (Cu Kα (λ = 1.5418 Å)), based on a GGA-PBE-relaxed structure.
Kinematic intensities with the Lorentz-polarization factor, no thermal factor.

Most intense lines, 2θ = 5–70°, low angle first:
2.308 Å, rel. 38; 2.274 Å, rel. 100; 2.226 Å, rel. 36; 2.143 Å, rel. 68; 2.119 Å, rel. 43; 2.031 Å, rel. 45

Structural model:
Cell: 7.819 8.124 9.936 Å, 90.00 90.00 90.00°
Positions (direct):
1 Hf 0.039 0.250 0.047
2 Hf 0.062 0.554 0.640
3 Hf 0.062 0.946 0.640
4 Hf 0.438 0.054 0.140
5 Hf 0.438 0.446 0.140
6 Hf 0.461 0.750 0.547
7 Hf 0.539 0.250 0.453
8 Hf 0.562 0.554 0.860
9 Hf 0.562 0.946 0.860
10 Hf 0.938 0.054 0.360
11 Hf 0.938 0.446 0.360
12 Hf 0.961 0.750 0.953
13 Cu 0.116 0.750 0.404
14 Cu 0.121 0.575 0.160
15 Cu 0.121 0.925 0.160
16 Cu 0.129 0.250 0.765
17 Cu 0.177 0.250 0.517
18 Cu 0.198 0.000 0.907
19 Cu 0.198 0.500 0.907
20 Cu 0.215 0.250 0.273
21 Cu 0.285 0.750 0.773
22 Cu 0.302 0.000 0.407
23 Cu 0.302 0.500 0.407
24 Cu 0.323 0.750 0.017
25 Cu 0.371 0.750 0.265
26 Cu 0.379 0.075 0.660
27 Cu 0.379 0.425 0.660
28 Cu 0.384 0.250 0.904
29 Cu 0.616 0.750 0.096
30 Cu 0.621 0.575 0.340
31 Cu 0.621 0.925 0.340
32 Cu 0.629 0.250 0.735
33 Cu 0.677 0.250 0.983
34 Cu 0.698 0.000 0.593
35 Cu 0.698 0.500 0.593
36 Cu 0.715 0.250 0.227
37 Cu 0.785 0.750 0.727
38 Cu 0.802 0.000 0.093
39 Cu 0.802 0.500 0.093
40 Cu 0.823 0.750 0.483
41 Cu 0.871 0.750 0.235
42 Cu 0.879 0.075 0.840
43 Cu 0.879 0.425 0.840
44 Cu 0.884 0.250 0.596